No. 1
This entry pairs a crystal structure of Sc3In with its computed X-ray diffraction stick pattern. Radiation: CuKα. Structure: a crystal structure in the Materials Project, relaxed with GGA-PBE.
Kinematic intensities with the Lorentz-polarization factor, no thermal factor.

a b c (Å): 4.5329 4.5329 4.5329
angles (deg): 90.00 90.00 90.00
Element x y z (fractional)
Sc 0.0000 0.0000 0.5000
Sc 0.0000 0.5000 0.0000
Sc 0.5000 0.0000 0.0000
In 0.5000 0.5000 0.5000

The 6 most intense peaks (2θ from 10° to 90°), by intensity:
d_spacing	two_theta	I_rel
2.617	34.3	100
2.266	39.8	49
1.367	68.7	35
1.603	57.5	31
4.533	19.6	24
3.205	27.8	21

No. 2
This entry pairs a crystal structure of Sc3In with its computed X-ray diffraction stick pattern. Radiation: CuKα. Structure: a crystal structure in the Materials Project, relaxed with GGA-PBE.
Kinematic intensities with the Lorentz-polarization factor, no thermal factor.

a b c (Å): 6.4214 6.4214 5.2265
angles (deg): 90.00 90.00 120.00
Element x y z (fractional)
Sc 0.1682 0.3365 0.2500
Sc 0.1682 0.8318 0.2500
Sc 0.3365 0.1682 0.7500
Sc 0.6635 0.8318 0.2500
Sc 0.8318 0.1682 0.7500
Sc 0.8318 0.6635 0.7500
In 0.3333 0.6667 0.7500
In 0.6667 0.3333 0.2500

The 6 most intense peaks (2θ from 10° to 90°), by intensity:
d_spacing	two_theta	I_rel
2.455	36.6	100
2.613	34.3	27
3.808	23.4	25
2.781	32.2	24
1.368	68.6	19
1.476	63.0	18

No. 3
This entry pairs a crystal structure of InSe with its computed X-ray diffraction stick pattern. Radiation: CuKα. Structure: a crystal structure in the Materials Project, relaxed with GGA-PBE.
Kinematic intensities with the Lorentz-polarization factor, no thermal factor.

a b c (Å): 4.0836 4.0836 17.5504
angles (deg): 90.00 90.00 120.00
Element x y z (fractional)
In 0.3333 0.6667 0.1696
In 0.3333 0.6667 0.3304
In 0.6667 0.3333 0.6696
In 0.6667 0.3333 0.8304
Se 0.3333 0.6667 0.5968
Se 0.3333 0.6667 0.9032
Se 0.6667 0.3333 0.0968
Se 0.6667 0.3333 0.4032

The 6 most intense peaks (2θ from 10° to 90°), by intensity:
d_spacing	two_theta	I_rel
2.044	44.3	100
3.537	25.2	52
4.388	20.2	38
3.026	29.5	37
2.491	36.1	33
1.179	81.6	25

No. 4
This entry pairs a crystal structure of InSe with its computed X-ray diffraction stick pattern. Radiation: CuKα. Structure: a crystal structure in the Materials Project, relaxed with GGA-PBE.
Kinematic intensities with the Lorentz-polarization factor, no thermal factor.

a b c (Å): 6.2075 6.2075 5.2306
angles (deg): 108.58 108.58 39.01
Element x y z (fractional)
In 0.1119 0.1119 0.4497
In 0.8881 0.8881 0.5503
Se 0.3385 0.3385 0.8292
Se 0.6615 0.6615 0.1708

The 6 most intense peaks (2θ from 10° to 90°), by intensity:
d_spacing	two_theta	I_rel
3.240	27.5	100
2.119	42.7	50
1.975	46.0	47
2.709	33.1	44
3.175	28.1	43
2.753	32.5	42

No. 5
This entry pairs a crystal structure of InSe2 with its computed X-ray diffraction stick pattern. Radiation: CuKα. Structure: a crystal structure in the Materials Project, relaxed with GGA-PBE.
Kinematic intensities with the Lorentz-polarization factor, no thermal factor.

a b c (Å): 3.8949 3.8949 9.6262
angles (deg): 90.00 90.00 90.00
Element x y z (fractional)
In 0.2500 0.2500 0.2065
In 0.7500 0.7500 0.7935
Se 0.2500 0.2500 0.8662
Se 0.2500 0.7500 0.5000
Se 0.7500 0.2500 0.5000
Se 0.7500 0.7500 0.1338

The 6 most intense peaks (2θ from 10° to 90°), by intensity:
d_spacing	two_theta	I_rel
2.648	33.9	100
2.390	37.6	98
3.209	27.8	83
1.947	46.6	56
2.477	36.3	49
1.665	55.2	47

No. 6
This entry pairs a crystal structure of InSe with its computed X-ray diffraction stick pattern. Radiation: CuKα. Structure: a crystal structure in the Materials Project, relaxed with GGA-PBE.
Kinematic intensities with the Lorentz-polarization factor, no thermal factor.

a b c (Å): 9.2698 9.2698 9.2698
angles (deg): 25.52 25.52 25.52
Element x y z (fractional)
In 0.0000 0.0000 0.0000
In 0.1053 0.1053 0.1053
Se 0.2862 0.2862 0.2862
Se 0.4857 0.4857 0.4857

The 6 most intense peaks (2θ from 10° to 90°), by intensity:
d_spacing	two_theta	I_rel
3.516	25.3	100
2.047	44.2	92
4.482	19.8	83
2.143	42.2	79
3.429	26.0	69
3.137	28.5	55

No. 7
This entry pairs a crystal structure of InSe with its computed X-ray diffraction stick pattern. Radiation: CuKα. Structure: a crystal structure in the Materials Project, relaxed with GGA-PBE.
Kinematic intensities with the Lorentz-polarization factor, no thermal factor.

a b c (Å): 4.0965 4.0965 18.3434
angles (deg): 90.00 90.00 120.00
Element x y z (fractional)
In 0.0000 0.0000 0.0772
In 0.0000 0.0000 0.9228
In 0.3333 0.6667 0.4229
In 0.3333 0.6667 0.5771
Se 0.3333 0.6667 0.1463
Se 0.3333 0.6667 0.8537
Se 0.6667 0.3333 0.3537
Se 0.6667 0.3333 0.6463

The 6 most intense peaks (2θ from 10° to 90°), by intensity:
d_spacing	two_theta	I_rel
3.483	25.6	100
2.108	42.9	86
2.048	44.2	72
4.586	19.4	67
3.069	29.1	60
2.550	35.2	38

Please write out number 1 again, unchanged.
This entry pairs a crystal structure of Sc3In with its computed X-ray diffraction stick pattern. Radiation: CuKα. Structure: a crystal structure in the Materials Project, relaxed with GGA-PBE.
Kinematic intensities with the Lorentz-polarization factor, no thermal factor.

a b c (Å): 4.5329 4.5329 4.5329
angles (deg): 90.00 90.00 90.00
Element x y z (fractional)
Sc 0.0000 0.0000 0.5000
Sc 0.0000 0.5000 0.0000
Sc 0.5000 0.0000 0.0000
In 0.5000 0.5000 0.5000

The 6 most intense peaks (2θ from 10° to 90°), by intensity:
d_spacing	two_theta	I_rel
2.617	34.3	100
2.266	39.8	49
1.367	68.7	35
1.603	57.5	31
4.533	19.6	24
3.205	27.8	21

Q: Number 4 is which compound?
A: InSe